This entry pairs a crystal structure of Cr7P6O24 with its simulated powder XRD pattern. Radiation: a wavelength of 1.5418 Å. Structure: a GGA+U-relaxed structure.
Neutral-atom scattering factors, no anomalous dispersion.

Cell and atoms:
a = 6.3568 Å, b = 8.1667 Å, c = 9.4790 Å
α = 107.04°, β = 108.51°, γ = 100.59°
Positions (direct):
Cr: 0.0000 0.0000 0.0000
Cr: 0.0486 0.7135 0.5276
Cr: 0.2843 0.8225 0.2997
Cr: 0.3795 0.4603 0.1086
Cr: 0.6205 0.5397 0.8914
Cr: 0.7157 0.1775 0.7003
Cr: 0.9514 0.2865 0.4724
P: 0.0971 0.5981 0.8343
P: 0.2258 0.1481 0.7616
P: 0.3941 0.2410 0.3626
P: 0.6059 0.7590 0.6374
P: 0.7742 0.8519 0.2384
P: 0.9029 0.4019 0.1657
O: 0.0102 0.1820 0.6474
O: 0.0744 0.5479 0.6555
O: 0.1159 0.5271 0.1609
O: 0.1257 0.7926 0.9169
O: 0.2059 0.9503 0.7045
O: 0.2243 0.2117 0.9333
O: 0.2528 0.2956 0.4620
O: 0.2688 0.0436 0.2353
O: 0.3165 0.5443 0.9198
O: 0.3657 0.7483 0.5126
O: 0.4422 0.3644 0.2756
O: 0.4541 0.2596 0.7610
O: 0.5459 0.7404 0.2390
O: 0.5578 0.6356 0.7244
O: 0.6343 0.2517 0.4874
O: 0.6835 0.4557 0.0802
O: 0.7312 0.9564 0.7647
O: 0.7472 0.7044 0.5380
O: 0.7757 0.7883 0.0667
O: 0.7941 0.0497 0.2955
O: 0.8743 0.2074 0.0831
O: 0.8841 0.4729 0.8391
O: 0.9256 0.4521 0.3445
O: 0.9898 0.8180 0.3526

Peak list (12 most intense, 10° ≤ 2θ ≤ 80°, sorted by position)
d [Å]  Rel. int.  hkl
4.756  165  -1 1 1
4.347  200  1 -1 1
3.120  245  2 0 -1
3.000  1000  0 2 1
2.996  513  0 1 -3
2.934  153  1 -2 2
2.808  159  -2 1 2
2.702  164  2 1 -1
2.687  168  1 2 -3
2.604  187  0 3 -2
2.009  167  0 3 -4
1.568  183  -4 1 1